Structure and calculated XRD peak list of TiCrB4 (the GGA-PBE geometry in Alexandria; Cu Ka).
No peak broadening, texture or thermal motion is included.

Lattice parameters (Å, degrees): 3.019 3.019 6.169 90.00 90.00 120.00
Positions (direct):
Ti 0.000 0.000 0.000
Cr 0.000 0.000 0.500
B 0.333 0.667 0.259
B 0.333 0.667 0.741
B 0.667 0.333 0.259
B 0.667 0.333 0.741

Most intense lines, 2θ from 10° to 90°, in order of rising 2θ:
2θ/deg  d (Å)  I (rel.)
14.36  6.169  1.6
28.94  3.085  21.1
34.29  2.615  63.7
45.47  1.995  100.0
59.98  1.542  8.2
61.41  1.510  23.0
69.30  1.356  9.7
70.94  1.328  13.0
72.26  1.307  6.1
79.65  1.204  16.1

=====

Structure and calculated XRD peak list of VCrB (the GGA-PBE geometry in Alexandria; Cu Ka).
No peak broadening, texture or thermal motion is included.

Lattice parameters (Å, degrees): 5.053 5.053 5.053 90.00 90.00 90.00
Positions (direct):
V 0.140 0.360 0.640
V 0.360 0.640 0.140
V 0.640 0.140 0.360
V 0.860 0.860 0.860
Cr 0.130 0.130 0.130
Cr 0.370 0.870 0.630
Cr 0.630 0.370 0.870
Cr 0.870 0.630 0.370
B 0.011 0.989 0.489
B 0.489 0.011 0.989
B 0.511 0.511 0.511
B 0.989 0.489 0.011

Most intense lines, 2θ from 10° to 90°, in order of rising 2θ:
2θ/deg  d (Å)  I (rel.)
30.64  2.918  11.6
39.89  2.260  100.0
43.89  2.063  65.3
54.47  1.684  1.2
60.79  1.524  16.7
66.74  1.402  10.4
69.61  1.351  30.0
75.21  1.263  9.2
83.36  1.159  5.0
88.71  1.103  15.2

=====

Structure and calculated XRD peak list of Cr3B4W3 (the GGA-PBE geometry in Alexandria; Cu Ka).
No peak broadening, texture or thermal motion is included.

Lattice parameters (Å, degrees): 3.098 5.774 5.774 90.22 90.00 90.00
Positions (direct):
Cr 0.000 0.000 0.000
Cr 0.500 0.173 0.680
Cr 0.500 0.680 0.173
B 0.500 0.056 0.280
B 0.500 0.280 0.056
B 0.500 0.560 0.560
B 0.500 0.799 0.799
W 0.000 0.349 0.349
W 0.000 0.499 0.855
W 0.000 0.855 0.499

Most intense lines, 2θ from 10° to 90°, in order of rising 2θ:
2θ/deg  d (Å)  I (rel.)
15.35  5.774  25.0
28.82  3.098  43.5
30.98  2.887  25.0
34.69  2.586  55.1
34.80  2.578  35.5
36.43  2.467  28.5
42.82  2.112  67.1
45.73  1.984  100.0
50.01  1.824  17.9
70.94  1.328  23.3

=====

Structure and calculated XRD peak list of CrBW4 (the GGA-PBE geometry in Alexandria; Cu Ka).
No peak broadening, texture or thermal motion is included.

Lattice parameters (Å, degrees): 6.531 6.531 6.531 127.67 127.67 77.17
Positions (direct):
Cr 0.000 0.000 0.000
Cr 0.500 0.500 0.000
B 0.250 0.250 0.000
B 0.750 0.750 0.000
W 0.031 0.531 0.837
W 0.194 0.031 0.500
W 0.306 0.806 0.837
W 0.469 0.306 0.500
W 0.531 0.694 0.500
W 0.694 0.194 0.163
W 0.806 0.969 0.500
W 0.969 0.469 0.163

Most intense lines, 2θ from 10° to 90°, in order of rising 2θ:
2θ/deg  d (Å)  I (rel.)
31.05  2.880  29.6
35.15  2.553  42.6
35.95  2.498  100.0
44.08  2.054  97.9
47.60  1.910  32.6
50.07  1.822  27.3
67.69  1.384  17.5
73.23  1.293  24.1
74.79  1.269  27.1
80.04  1.199  22.8

=====

Structure and calculated XRD peak list of Cr2B3W3 (the GGA-PBE geometry in Alexandria; Cu Ka).
No peak broadening, texture or thermal motion is included.

Lattice parameters (Å, degrees): 6.679 6.679 6.679 128.76 128.76 75.40
Positions (direct):
Cr 0.163 0.663 0.826
Cr 0.337 0.163 0.500
Cr 0.663 0.837 0.500
Cr 0.837 0.337 0.174
B 0.023 0.754 0.500
B 0.254 0.523 0.500
B 0.404 0.404 0.000
B 0.523 0.023 0.269
B 0.754 0.254 0.731
B 0.904 0.904 0.000
W 0.122 0.622 0.157
W 0.131 0.131 0.000
W 0.465 0.965 0.843
W 0.622 0.465 0.500
W 0.631 0.631 0.000
W 0.965 0.122 0.500

Most intense lines, 2θ from 10° to 90°, in order of rising 2θ:
2θ/deg  d (Å)  I (rel.)
16.78  5.284  52.0
27.60  3.232  62.5
35.42  2.534  68.7
35.78  2.509  91.7
40.67  2.218  36.3
43.44  2.083  100.0
46.59  1.949  53.5
49.93  1.827  51.0
74.91  1.268  33.0
79.13  1.210  24.2

=====

Structure and calculated XRD peak list of YCrB4 (the GGA-PBE geometry in Alexandria; Cu Ka).
No peak broadening, texture or thermal motion is included.

Lattice parameters (Å, degrees): 5.931 11.457 3.448 90.00 90.00 90.00
Positions (direct):
Y 0.124 0.151 0.000
Y 0.376 0.651 0.000
Y 0.624 0.349 0.000
Y 0.876 0.849 0.000
Cr 0.122 0.421 0.000
Cr 0.378 0.921 0.000
Cr 0.622 0.079 0.000
Cr 0.878 0.579 0.000
B 0.025 0.692 0.500
B 0.113 0.547 0.500
B 0.137 0.967 0.500
B 0.220 0.816 0.500
B 0.280 0.316 0.500
B 0.363 0.467 0.500
B 0.387 0.047 0.500
B 0.475 0.192 0.500
B 0.525 0.808 0.500
B 0.613 0.953 0.500
B 0.637 0.533 0.500
B 0.720 0.684 0.500
B 0.780 0.184 0.500
B 0.863 0.033 0.500
B 0.887 0.453 0.500
B 0.975 0.308 0.500

Most intense lines, 2θ from 10° to 90°, in order of rising 2θ:
2θ/deg  d (Å)  I (rel.)
25.84  3.448  62.0
27.78  3.211  29.1
31.17  2.869  75.2
34.78  2.579  20.3
38.31  2.350  35.6
40.92  2.205  100.0
43.84  2.065  29.8
46.89  1.937  30.1
53.13  1.724  19.6
62.90  1.478  19.1

=====

Structure and calculated XRD peak list of Y3CrB7 (the GGA-PBE geometry in Alexandria; Cu Ka).
No peak broadening, texture or thermal motion is included.

Lattice parameters (Å, degrees): 8.108 8.108 9.364 90.00 90.00 155.46
Positions (direct):
Y 0.105 0.895 0.560
Y 0.105 0.895 0.940
Y 0.241 0.759 0.250
Y 0.759 0.241 0.750
Y 0.895 0.105 0.060
Y 0.895 0.105 0.440
Cr 0.053 0.947 0.250
Cr 0.947 0.053 0.750
B 0.273 0.727 0.532
B 0.273 0.727 0.968
B 0.369 0.631 0.651
B 0.369 0.631 0.849
B 0.460 0.540 0.250
B 0.479 0.521 0.597
B 0.479 0.521 0.903
B 0.521 0.479 0.097
B 0.521 0.479 0.403
B 0.540 0.460 0.750
B 0.631 0.369 0.151
B 0.631 0.369 0.349
B 0.727 0.273 0.032
B 0.727 0.273 0.468

Most intense lines, 2θ from 10° to 90°, in order of rising 2θ:
2θ/deg  d (Å)  I (rel.)
26.47  3.367  73.2
29.54  3.024  85.4
30.79  2.904  68.3
32.46  2.758  40.0
33.94  2.641  39.3
38.60  2.333  32.8
39.36  2.289  100.0
39.83  2.263  49.6
43.34  2.088  39.4
53.16  1.723  27.9

=====

Structure and calculated XRD peak list of ZnCr2B2 (the GGA-PBE geometry in Alexandria; Cu Ka).
No peak broadening, texture or thermal motion is included.

Lattice parameters (Å, degrees): 5.594 5.594 3.000 90.00 90.00 90.00
Positions (direct):
Zn 0.000 0.000 0.000
Zn 0.500 0.500 0.000
Cr 0.172 0.328 0.500
Cr 0.328 0.828 0.500
Cr 0.672 0.172 0.500
Cr 0.828 0.672 0.500
B 0.110 0.610 0.000
B 0.390 0.110 0.000
B 0.610 0.890 0.000
B 0.890 0.390 0.000

Most intense lines, 2θ from 10° to 90°, in order of rising 2θ:
2θ/deg  d (Å)  I (rel.)
22.48  3.955  21.9
35.90  2.502  49.1
37.63  2.390  67.3
44.28  2.046  100.0
45.88  1.978  27.8
47.31  1.921  68.0
51.67  1.769  55.3
61.85  1.500  17.3
79.39  1.207  25.8
84.73  1.144  23.7

=====

Structure and calculated XRD peak list of ZrCrB (the GGA-PBE geometry in Alexandria; Cu Ka).
No peak broadening, texture or thermal motion is included.

Lattice parameters (Å, degrees): 4.731 3.102 5.439 90.00 102.47 90.00
Positions (direct):
Zr 0.056 0.250 0.259
Zr 0.944 0.750 0.741
Cr 0.456 0.250 0.829
Cr 0.544 0.750 0.171
B 0.412 0.750 0.535
B 0.588 0.250 0.465

Most intense lines, 2θ from 10° to 90°, in order of rising 2θ:
2θ/deg  d (Å)  I (rel.)
33.45  2.679  19.7
33.75  2.655  56.6
35.16  2.552  24.0
36.91  2.435  100.0
39.01  2.309  70.6
40.74  2.215  99.5
46.07  1.970  30.7
59.60  1.551  18.1
66.39  1.408  18.8
73.56  1.288  19.3

=====

Structure and calculated XRD peak list of CsB12 (the GGA-PBE geometry in Alexandria; Cu Ka).
No peak broadening, texture or thermal motion is included.

Lattice parameters (Å, degrees): 5.199 5.199 5.199 90.00 90.00 90.00
Positions (direct):
Cs 0.000 0.000 0.000
B 0.000 0.261 0.500
B 0.000 0.500 0.261
B 0.000 0.500 0.739
B 0.000 0.739 0.500
B 0.261 0.000 0.500
B 0.261 0.500 0.000
B 0.500 0.000 0.261
B 0.500 0.000 0.739
B 0.500 0.261 0.000
B 0.500 0.739 0.000
B 0.739 0.000 0.500
B 0.739 0.500 0.000

Most intense lines, 2θ from 10° to 90°, in order of rising 2θ:
2θ/deg  d (Å)  I (rel.)
17.05  5.199  100.0
24.21  3.676  45.8
29.76  3.002  40.0
34.50  2.600  28.4
38.73  2.325  50.5
42.59  2.123  59.7
52.82  1.733  26.2
58.91  1.568  14.8
67.39  1.390  29.4
75.37  1.261  15.3

=====

Structure and calculated XRD peak list of Cs2DyBO4 (the GGA-PBE geometry in Alexandria; Cu Ka).
No peak broadening, texture or thermal motion is included.

Lattice parameters (Å, degrees): 13.513 12.362 6.552 85.35 65.75 28.90
Positions (direct):
Cs 0.053 0.053 0.697
Cs 0.303 0.303 0.947
Cs 0.697 0.697 0.053
Cs 0.947 0.947 0.303
Dy 0.125 0.125 0.125
Dy 0.875 0.875 0.875
B 0.375 0.375 0.375
B 0.625 0.625 0.625
O 0.094 0.583 0.505
O 0.318 0.505 0.583
O 0.417 0.906 0.682
O 0.495 0.682 0.906
O 0.505 0.318 0.094
O 0.583 0.094 0.318
O 0.682 0.495 0.417
O 0.906 0.417 0.495

Most intense lines, 2θ from 10° to 90°, in order of rising 2θ:
2θ/deg  d (Å)  I (rel.)
19.17  4.630  65.3
26.39  3.377  57.0
26.60  3.351  100.0
28.46  3.136  36.7
29.62  3.015  37.6
33.86  2.647  49.7
38.16  2.358  36.8
41.77  2.163  27.3
45.55  1.992  39.8
52.03  1.758  34.7

=====

Structure and calculated XRD peak list of Cs2ErBO4 (the GGA-PBE geometry in Alexandria; Cu Ka).
No peak broadening, texture or thermal motion is included.

Lattice parameters (Å, degrees): 13.435 12.267 6.551 85.40 65.52 29.08
Positions (direct):
Cs 0.052 0.052 0.698
Cs 0.302 0.302 0.948
Cs 0.698 0.698 0.052
Cs 0.948 0.948 0.302
Er 0.125 0.125 0.125
Er 0.875 0.875 0.875
B 0.375 0.375 0.375
B 0.625 0.625 0.625
O 0.091 0.585 0.508
O 0.316 0.508 0.585
O 0.415 0.909 0.684
O 0.492 0.684 0.909
O 0.508 0.316 0.091
O 0.585 0.091 0.316
O 0.684 0.492 0.415
O 0.909 0.415 0.492

Most intense lines, 2θ from 10° to 90°, in order of rising 2θ:
2θ/deg  d (Å)  I (rel.)
14.76  6.001  26.7
19.32  4.594  66.5
26.60  3.351  55.8
26.73  3.335  100.0
28.54  3.128  37.3
29.58  3.020  36.6
34.01  2.636  48.8
38.47  2.340  36.0
42.16  2.144  27.0
52.34  1.748  29.8

=====

Structure and calculated XRD peak list of CsHgBF6 (the GGA-PBE geometry in Alexandria; Cu Ka).
No peak broadening, texture or thermal motion is included.

Lattice parameters (Å, degrees): 6.531 6.531 6.070 92.72 92.72 131.14
Positions (direct):
Cs 0.000 0.000 0.000
Hg 0.703 0.297 0.500
B 0.417 0.583 0.500
F 0.190 0.490 0.353
F 0.339 0.366 0.625
F 0.496 0.095 0.202
F 0.510 0.810 0.647
F 0.634 0.661 0.375
F 0.905 0.504 0.798

Most intense lines, 2θ from 10° to 90°, in order of rising 2θ:
2θ/deg  d (Å)  I (rel.)
18.14  4.891  57.6
20.98  4.234  94.6
22.17  4.009  100.0
24.61  3.618  64.2
27.98  3.189  71.9
30.06  2.973  26.7
38.24  2.354  40.5
39.72  2.269  29.4
42.68  2.118  29.9
43.58  2.077  25.0